This entry pairs a crystal structure of La6CoSn2Ru with its computed X-ray powder pattern. Radiation: Cu Kα (λ = 1.5418 Å). Structure: DFT lattice parameters and positions (GGA-PBE).

Principal peaks in the range 5 to 70 degrees two-theta, sorted by position:
d 3.102, 28.78°, I = 100
d 2.698, 33.21°, I = 32
d 2.689, 33.32°, I = 32
d 2.674, 33.52°, I = 31
d 1.904, 47.76°, I = 23
d 1.897, 47.94°, I = 46
d 1.625, 56.64°, I = 15
d 1.621, 56.79°, I = 15
d 1.614, 57.05°, I = 15
d 1.551, 59.60°, I = 24

Cell and atoms:
```
data_La6CoSn2Ru
_chemical_formula_sum 'La24 Co4 Sn8 Ru4'
_cell_length_a 10.6944
_cell_length_b 10.7564
_cell_length_c 10.7905
_cell_angle_alpha 90.00
_cell_angle_beta 90.00
_cell_angle_gamma 90.00
_space_group_name_H-M_alt 'F m m m'
_space_group_IT_number 69
_space_group_name_Hall '-F 2 2'
loop_
_atom_site_label
_atom_site_type_symbol
_atom_site_fract_x
_atom_site_fract_y
_atom_site_fract_z
La1 La 0.0000 0.0000 0.2481
La2 La 0.0000 0.2470 0.0000
La3 La 0.2446 0.0000 0.0000
Co1 Co 0.0000 0.0000 0.0000
Sn1 Sn 0.2500 0.2500 0.2500
Ru1 Ru 0.0000 0.0000 0.5000
```

This entry pairs a crystal structure of K2LiInAs2 with its computed X-ray powder pattern. Radiation: Cu Kα (λ = 1.5418 Å). Structure: DFT lattice parameters and positions (GGA-PBE).

Principal peaks in the range 5 to 70 degrees two-theta, sorted by position:
d 7.886, 11.22°, I = 100
d 5.420, 16.35°, I = 74
d 3.957, 22.47°, I = 36
d 3.887, 22.88°, I = 34
d 3.505, 25.41°, I = 30
d 2.986, 29.93°, I = 99
d 2.507, 35.81°, I = 62
d 2.494, 36.00°, I = 61
d 2.287, 39.39°, I = 80
d 1.811, 50.40°, I = 39

Cell and atoms:
```
data_K2LiInAs2
_chemical_formula_sum 'K16 Li8 In8 As16'
_cell_length_a 12.9957
_cell_length_b 15.7723
_cell_length_c 6.4416
_cell_angle_alpha 90.00
_cell_angle_beta 90.00
_cell_angle_gamma 90.00
_space_group_name_H-M_alt 'C m c e'
_space_group_IT_number 64
_space_group_name_Hall '-C 2ac 2'
loop_
_atom_site_label
_atom_site_type_symbol
_atom_site_fract_x
_atom_site_fract_y
_atom_site_fract_z
K1 K 0.0000 0.1728 0.2262
K2 K 0.2500 0.1759 0.7500
Li1 Li 0.1196 0.0000 0.0000
In1 In 0.1319 0.0000 0.5000
As1 As 0.0000 0.0979 0.7318
As2 As 0.2500 0.1011 0.2500
```

This entry pairs a crystal structure of Ag3H4Pd4 with its computed X-ray powder pattern. Radiation: Cu Kα (λ = 1.5418 Å). Structure: DFT lattice parameters and positions (GGA-PBE).

Principal peaks in the range 5 to 70 degrees two-theta, sorted by position:
d 8.205, 10.78°, I = 46
d 2.496, 35.98°, I = 52
d 2.426, 37.06°, I = 58
d 2.342, 38.44°, I = 15
d 2.316, 38.89°, I = 100
d 2.166, 41.71°, I = 39
d 2.157, 41.88°, I = 38
d 2.088, 43.33°, I = 13
d 1.906, 47.71°, I = 23
d 1.458, 63.86°, I = 12

Cell and atoms:
```
data_Ag3H4Pd4
_chemical_formula_sum 'Ag3 H4 Pd4'
_cell_length_a 2.9152
_cell_length_b 6.1612
_cell_length_c 8.3461
_cell_angle_alpha 84.00
_cell_angle_beta 80.17
_cell_angle_gamma 76.38
_space_group_name_H-M_alt 'P -1'
_space_group_IT_number 2
loop_
_space_group_symop_operation_xyz
'x,y,z'
'-x,-y,-z'
loop_
_atom_site_label
_atom_site_type_symbol
_atom_site_fract_x
_atom_site_fract_y
_atom_site_fract_z
Ag1 Ag 0.0000 0.0000 0.0000
Ag2 Ag 0.4737 0.2926 0.7578
H1 H 0.1990 0.2848 0.3157
H2 H 0.3322 0.9179 0.4170
Pd1 Pd 0.2254 0.9035 0.6456
Pd2 Pd 0.2616 0.3684 0.1092
```

This entry pairs a crystal structure of MgGaIr with its computed X-ray powder pattern. Radiation: Cu Kα (λ = 1.5418 Å). Structure: DFT lattice parameters and positions (GGA-PBE).

Principal peaks in the range 5 to 70 degrees two-theta, sorted by position:
d 4.334, 20.49°, I = 11
d 4.103, 21.66°, I = 100
d 3.397, 26.23°, I = 13
d 2.325, 38.73°, I = 33
d 2.317, 38.87°, I = 33
d 2.167, 41.68°, I = 46
d 2.073, 43.67°, I = 25
d 2.051, 44.15°, I = 33
d 1.904, 47.78°, I = 11
d 1.895, 48.01°, I = 11

Cell and atoms:
```
data_MgGaIr
_chemical_formula_sum 'Mg4 Ga4 Ir4'
_cell_length_a 7.6104
_cell_length_b 6.7939
_cell_length_c 5.1478
_cell_angle_alpha 90.00
_cell_angle_beta 132.30
_cell_angle_gamma 90.00
_space_group_name_H-M_alt 'C 1 2 1'
_space_group_IT_number 5
loop_
_space_group_symop_operation_xyz
'x,y,z'
'-x,y,-z'
'x+1/2,y+1/2,z'
'-x+1/2,y+1/2,-z'
loop_
_atom_site_label
_atom_site_type_symbol
_atom_site_fract_x
_atom_site_fract_y
_atom_site_fract_z
Mg1 Mg 0.0000 0.0000 0.0000
Mg2 Mg 0.0000 0.2175 0.5000
Ga1 Ga 0.0232 0.6088 0.2727
Ir1 Ir 0.2496 0.3587 0.2178
```

This entry pairs a crystal structure of Ho2Sc6Cd with its computed X-ray powder pattern. Radiation: Cu Kα (λ = 1.5418 Å). Structure: DFT lattice parameters and positions (GGA-PBE).

Principal peaks in the range 5 to 70 degrees two-theta, sorted by position:
d 4.818, 18.41°, I = 44
d 4.314, 20.59°, I = 78
d 3.262, 27.34°, I = 45
d 2.751, 32.55°, I = 55
d 2.701, 33.17°, I = 83
d 2.674, 33.52°, I = 100
d 2.411, 37.29°, I = 44
d 2.381, 37.78°, I = 72
d 1.952, 46.53°, I = 37
d 1.653, 55.61°, I = 36

Cell and atoms:
```
data_Ho2Sc6Cd
_chemical_formula_sum 'Ho4 Sc12 Cd2'
_cell_length_a 3.3479
_cell_length_b 9.6365
_cell_length_c 14.4747
_cell_angle_alpha 90.00
_cell_angle_beta 90.00
_cell_angle_gamma 90.00
_space_group_name_H-M_alt 'I m m m'
_space_group_IT_number 71
_space_group_name_Hall '-I 2 2'
loop_
_atom_site_label
_atom_site_type_symbol
_atom_site_fract_x
_atom_site_fract_y
_atom_site_fract_z
Ho1 Ho 0.0000 0.0000 0.1380
Sc1 Sc 0.0000 0.2709 0.5000
Sc2 Sc 0.0000 0.3392 0.1825
Cd1 Cd 0.0000 0.5000 0.0000
```

This entry pairs a crystal structure of Pr2CuP3Rh4 with its computed X-ray powder pattern. Radiation: Cu Kα (λ = 1.5418 Å). Structure: DFT lattice parameters and positions (GGA-PBE).

Principal peaks in the range 5 to 70 degrees two-theta, sorted by position:
d 2.934, 30.47°, I = 12
d 2.812, 31.83°, I = 19
d 2.575, 34.85°, I = 58
d 2.520, 35.62°, I = 100
d 2.075, 43.63°, I = 56
d 1.779, 51.35°, I = 23
d 1.615, 57.01°, I = 27
d 1.467, 63.41°, I = 18
d 1.432, 65.12°, I = 12
d 1.351, 69.61°, I = 18

Cell and atoms:
```
data_Pr2CuP3Rh4
_chemical_formula_sum 'Pr2 Cu1 P3 Rh4'
_cell_length_a 4.1491
_cell_length_b 4.1491
_cell_length_c 9.8488
_cell_angle_alpha 90.00
_cell_angle_beta 90.00
_cell_angle_gamma 90.00
_space_group_name_H-M_alt 'P -4 m 2'
_space_group_IT_number 115
loop_
_space_group_symop_operation_xyz
'x,y,z'
'y,-x,-z'
'-x,-y,z'
'-y,x,-z'
'-x,y,z'
'-y,-x,-z'
'x,-y,z'
'y,x,-z'
loop_
_atom_site_label
_atom_site_type_symbol
_atom_site_fract_x
_atom_site_fract_y
_atom_site_fract_z
Pr1 Pr 0.0000 0.5000 0.2421
Cu1 Cu 0.5000 0.5000 0.0000
P1 P 0.0000 0.0000 0.0000
P2 P 0.0000 0.5000 0.6355
Rh1 Rh 0.0000 0.0000 0.5000
Rh2 Rh 0.0000 0.5000 0.8704
Rh3 Rh 0.5000 0.5000 0.5000
```

This entry pairs a crystal structure of ThGa2Tc2 with its computed X-ray powder pattern. Radiation: Cu Kα (λ = 1.5418 Å). Structure: DFT lattice parameters and positions (GGA-PBE).

Principal peaks in the range 5 to 70 degrees two-theta, sorted by position:
d 3.660, 24.32°, I = 29
d 3.019, 29.59°, I = 49
d 2.893, 30.91°, I = 65
d 2.622, 34.19°, I = 100
d 2.490, 36.08°, I = 49
d 2.302, 39.13°, I = 56
d 2.129, 42.45°, I = 45
d 2.119, 42.67°, I = 45
d 2.083, 43.44°, I = 34
d 1.502, 61.76°, I = 30

Cell and atoms:
```
data_ThGa2Tc2
_chemical_formula_sum 'Th4 Ga8 Tc8'
_cell_length_a 4.2379
_cell_length_b 4.2587
_cell_length_c 21.5009
_cell_angle_alpha 90.00
_cell_angle_beta 90.00
_cell_angle_gamma 90.00
_space_group_name_H-M_alt 'I m m a'
_space_group_IT_number 74
_space_group_name_Hall '-I 2b 2'
loop_
_atom_site_label
_atom_site_type_symbol
_atom_site_fract_x
_atom_site_fract_y
_atom_site_fract_z
Th1 Th 0.0000 0.2500 0.0953
Ga1 Ga 0.0000 0.2500 0.5273
Ga2 Ga 0.0000 0.2500 0.6434
Tc1 Tc 0.0000 0.2500 0.2835
Tc2 Tc 0.0000 0.2500 0.7826
```

This entry pairs a crystal structure of RbTlTc2 with its computed X-ray powder pattern. Radiation: Cu Kα (λ = 1.5418 Å). Structure: DFT lattice parameters and positions (GGA-PBE).

Principal peaks in the range 5 to 70 degrees two-theta, sorted by position:
d 4.095, 21.70°, I = 12
d 3.546, 25.11°, I = 4
d 2.508, 35.81°, I = 100
d 2.139, 42.26°, I = 7
d 2.047, 44.24°, I = 1
d 1.773, 51.54°, I = 18
d 1.627, 56.56°, I = 3
d 1.586, 58.17°, I = 2
d 1.448, 64.35°, I = 36
d 1.365, 68.77°, I = 2

Cell and atoms:
```
data_RbTlTc2
_chemical_formula_sum 'Rb4 Tl4 Tc8'
_cell_length_a 7.0927
_cell_length_b 7.0927
_cell_length_c 7.0927
_cell_angle_alpha 90.00
_cell_angle_beta 90.00
_cell_angle_gamma 90.00
_space_group_name_H-M_alt 'F m -3 m'
_space_group_IT_number 225
_space_group_name_Hall '-F 4 2 3'
loop_
_atom_site_label
_atom_site_type_symbol
_atom_site_fract_x
_atom_site_fract_y
_atom_site_fract_z
Rb1 Rb 0.0000 0.0000 0.0000
Tl1 Tl 0.0000 0.0000 0.5000
Tc1 Tc 0.2500 0.2500 0.2500
```